Record 1
Starting from a DFT-relaxed cell (PBE, the Materials Project), the XRD peak list of RbFeSe2 was computed for a wavelength of 1.5418 Å.
Lines closer than 0.1° are merged.

Cell and atoms:
Cell: 7.5356 12.2181 5.6366 Å, 90.00 111.85 90.00°
Space group C2/c (No. 15)
One atom of each set of equivalent atoms:
Rb: 0.0000 0.1405 0.2500 [4 per cell]
Fe: 0.0000 0.4983 0.7500 [4 per cell]
Se: 0.1871 0.3916 0.0947 [8 per cell]

Largest 10 diffraction maxima, in order of rising 2θ, 15 to 90 degrees two-theta:
2θ = 25.31°, I 28.5; 2θ = 25.82°, I 63.0; 2θ = 28.85°, I 100.0; 2θ = 29.24°, I 23.3; 2θ = 32.61°, I 17.9; 2θ = 33.23°, I 37.9; 2θ = 38.86°, I 35.7; 2θ = 44.81°, I 28.9; 2θ = 49.36°, I 21.5; 2θ = 54.74°, I 15.9

=====

Record 2
Starting from a DFT-relaxed cell (PBE, the Materials Project), the XRD peak list of Rb3Fe2Se4 was computed for a wavelength of 1.5418 Å.
Lines closer than 0.1° are merged.

Cell and atoms:
Cell: 7.8315 11.3835 12.6678 Å, 90.00 90.00 90.00°
Space group Pnma (No. 62)
One atom of each set of equivalent atoms:
Rb: 0.0712 0.0702 0.1363 [8 per cell]
Rb: 0.0863 0.2500 0.7675 [4 per cell]
Fe: 0.0497 0.1331 0.4711 [8 per cell]
Se: 0.0864 0.7500 0.6621 [4 per cell]
Se: 0.1470 0.5535 0.3941 [8 per cell]
Se: 0.2081 0.7500 0.0323 [4 per cell]

Largest 10 diffraction maxima, in order of rising 2θ, 15 to 90 degrees two-theta:
2θ = 23.91°, I 40.1; 2θ = 25.21°, I 62.9; 2θ = 27.04°, I 38.7; 2θ = 28.55°, I 93.0; 2θ = 29.72°, I 100.0; 2θ = 31.15°, I 68.7; 2θ = 32.15°, I 23.4; 2θ = 32.35°, I 45.7; 2θ = 39.86°, I 29.0; 2θ = 53.92°, I 21.8

=====

Record 3
Starting from a DFT-relaxed cell (PBE, the Materials Project), the XRD peak list of RbFe2Se3 was computed for a wavelength of 1.5418 Å.
Lines closer than 0.1° are merged.

Cell and atoms:
Cell: 9.6849 12.1410 5.4538 Å, 90.00 90.00 90.00°
Space group Cmcm (No. 63)
One atom of each set of equivalent atoms:
Rb: 0.0000 0.1657 0.2500 [4 per cell]
Fe: 0.1309 0.5000 0.0000 [8 per cell]
Se: 0.0000 0.3704 0.7500 [4 per cell]
Se: 0.2312 0.1124 0.7500 [8 per cell]

Largest 10 diffraction maxima, in order of rising 2θ, 15 to 90 degrees two-theta:
2θ = 23.83°, I 11.4; 2θ = 28.71°, I 100.0; 2θ = 32.84°, I 7.8; 2θ = 44.67°, I 23.4; 2θ = 46.82°, I 7.0; 2θ = 48.07°, I 17.1; 2θ = 50.40°, I 18.9; 2θ = 51.75°, I 9.4; 2θ = 56.12°, I 14.5; 2θ = 61.86°, I 8.6

=====

Record 4
Starting from a DFT-relaxed cell (PBE, the Materials Project), the XRD peak list of FeRe3 was computed for a wavelength of 1.5418 Å.
Lines closer than 0.1° are merged.

Cell and atoms:
Cell: 5.4459 5.4459 4.3711 Å, 90.00 90.00 120.00°
Space group P6_3/mmc (No. 194)
One atom of each set of equivalent atoms:
Fe: 0.3333 0.6667 0.2500 [2 per cell]
Re: 0.1677 0.3353 0.7500 [6 per cell]

Largest 10 diffraction maxima, in order of rising 2θ, 15 to 90 degrees two-theta:
2θ = 27.83°, I 14.2; 2θ = 32.89°, I 6.0; 2θ = 38.16°, I 24.2; 2θ = 41.31°, I 25.9; 2θ = 43.61°, I 100.0; 2θ = 57.49°, I 14.8; 2θ = 68.98°, I 17.1; 2θ = 76.92°, I 18.9; 2θ = 83.69°, I 20.5; 2θ = 85.25°, I 14.8

=====

Record 5
Starting from a DFT-relaxed cell (PBE, the Materials Project), the XRD peak list of Ta2FeRe2Se8 was computed for a wavelength of 1.5418 Å.
Lines closer than 0.1° are merged.

Cell and atoms:
Cell: 3.4559 3.4559 26.3182 Å, 90.00 90.00 120.00°
Space group P3m1 (No. 156)
One atom of each set of equivalent atoms:
Ta: 0.0000 0.0000 0.0000 [1 per cell]
Ta: 0.0000 0.0000 0.4994 [1 per cell]
Fe: 0.0000 0.0000 0.8735 [1 per cell]
Re: 0.0000 0.0000 0.2496 [1 per cell]
Re: 0.0000 0.0000 0.7471 [1 per cell]
Se: 0.3333 0.6667 0.1901 [1 per cell]
Se: 0.3333 0.6667 0.3090 [1 per cell]
Se: 0.3333 0.6667 0.6892 [1 per cell]
Se: 0.3333 0.6667 0.8134 [1 per cell]
Se: 0.6667 0.3333 0.0637 [1 per cell]
Se: 0.6667 0.3333 0.4356 [1 per cell]
Se: 0.6667 0.3333 0.5633 [1 per cell]
Se: 0.6667 0.3333 0.9350 [1 per cell]

Largest 10 diffraction maxima, in order of rising 2θ, 15 to 90 degrees two-theta:
2θ = 29.85°, I 20.5; 2θ = 30.63°, I 28.2; 2θ = 32.88°, I 65.6; 2θ = 36.34°, I 17.8; 2θ = 40.76°, I 100.0; 2θ = 51.67°, I 19.0; 2θ = 52.99°, I 38.7; 2θ = 54.94°, I 15.8; 2θ = 68.94°, I 21.1; 2θ = 80.64°, I 22.3